[1]
Gd2SeOF2: simulated XRD peak list (CuKα), based on the GGA-PBE geometry in OQMD.
Lines closer than 0.1° are merged.

Structural model:
a b c (Å): 13.3569 13.3569 3.7545
angles (deg): 90.00 90.00 120.00
Space group P6_3/m (No. 176)
One atom of each set of equivalent atoms:
Gd1 0.0554 0.7674 0.2500 (multiplicity 6)
Gd2 0.1191 0.5159 0.2500 (multiplicity 6)
Se1 0.2067 0.7188 0.7500 (multiplicity 6)
O1 0.0143 0.4263 0.7500 (multiplicity 6)
F1 0.0678 0.3151 0.2500 (multiplicity 6)
F2 0.0990 0.8950 0.7500 (multiplicity 6)

Peak list (12 most intense, 2θ = 5–70°, by angle)
2θ/deg  I_rel
7.64  24.9
13.26  33.0
27.81  100.0
31.41  97.9
33.31  76.4
35.99  44.8
36.85  39.8
48.17  28.8
48.49  30.3
49.19  47.6
55.30  39.9
56.82  28.6



[2]
PrInSe3: simulated XRD peak list (CuKα), based on the GGA-PBE geometry in OQMD.
Lines closer than 0.1° are merged.

Structural model:
a b c (Å): 8.349 4.192 14.317
angles (deg): 90.00 90.00 90.00
Space group Pnma (No. 62)
One atom of each set of equivalent atoms:
Pr1 0.099 0.250 0.170 (multiplicity 4)
In1 0.161 0.750 0.441 (multiplicity 4)
Se1 0.028 0.750 0.621 (multiplicity 4)
Se2 0.144 0.750 0.009 (multiplicity 4)
Se3 0.177 0.250 0.782 (multiplicity 4)

Peak list (12 most intense, 2θ = 5–70°, by angle)
2θ/deg  I_rel
22.15  14.6
24.56  22.2
28.41  15.1
30.33  32.7
30.87  35.3
32.76  100.0
33.07  29.0
34.59  13.9
38.06  46.7
43.16  34.4
43.38  24.1
55.41  21.8